Starting from the PBE geometry in the Materials Project, the powder X-ray diffraction pattern of La2Si2O7 was simulated for Cu Kα (λ = 1.5418 Å).

Atomic structure:
a = 6.877 Å, b = 6.955 Å, c = 12.642 Å
α = 83.98°, β = 88.90°, γ = 88.53°
Fractional positions:
La1 0.076 0.333 0.154
La2 0.243 0.696 0.358
La3 0.324 0.260 0.864
La4 0.371 0.871 0.638
La5 0.629 0.129 0.362
La6 0.676 0.740 0.136
La7 0.757 0.304 0.642
La8 0.924 0.667 0.846
Si1 0.160 0.189 0.411
Si2 0.162 0.816 0.092
Si3 0.225 0.393 0.609
Si4 0.426 0.779 0.898
Si5 0.574 0.221 0.102
Si6 0.775 0.607 0.391
Si7 0.838 0.184 0.908
Si8 0.840 0.811 0.589
O1 0.004 0.327 0.948
O2 0.027 0.864 0.655
O3 0.061 0.992 0.147
O4 0.072 0.411 0.709
O5 0.093 0.282 0.523
O6 0.291 0.627 0.843
O7 0.296 0.342 0.336
O8 0.301 0.896 0.987
O9 0.304 0.999 0.445
O10 0.305 0.592 0.547
O11 0.309 0.677 0.171
O12 0.377 0.313 0.048
O13 0.403 0.249 0.655
O14 0.468 0.957 0.806
O15 0.532 0.043 0.194
O16 0.597 0.751 0.345
O17 0.623 0.687 0.952
O18 0.691 0.323 0.829
O19 0.695 0.408 0.453
O20 0.696 0.001 0.555
O21 0.699 0.104 0.013
O22 0.704 0.658 0.664
O23 0.709 0.373 0.157
O24 0.907 0.718 0.477
O25 0.928 0.589 0.291
O26 0.939 0.008 0.853
O27 0.973 0.136 0.345
O28 0.996 0.673 0.052

Most intense lines, 10 to 90 degrees two-theta, by angle:
- d = 4.410 Å, intensity 55, (1 -1 1)
- d = 3.457 Å, intensity 57, (0 2 0)
- d = 3.301 Å, intensity 67, (2 0 -1)
- d = 3.172 Å, intensity 47, (0 2 2)
- d = 3.143 Å, intensity 100, (0 0 4)
- d = 3.066 Å, intensity 55, (1 -1 3)